# CdHClF2
Computed powder X-ray diffraction pattern, CuKα. Input: a DFT-relaxed cell (GGA-PBE, Alexandria).

The 10 most intense peaks (10° ≤ 2θ ≤ 80°), by angle:
- 2θ = 14.91°, intensity 100
- 2θ = 26.91°, intensity 38
- 2θ = 28.85°, intensity 23
- 2θ = 29.43°, intensity 19
- 2θ = 30.46°, intensity 19
- 2θ = 32.31°, intensity 79
- 2θ = 36.81°, intensity 24
- 2θ = 48.37°, intensity 21
- 2θ = 48.75°, intensity 19
- 2θ = 51.85°, intensity 19

Atomic structure:
```
data_CdHClF2
_chemical_formula_sum 'Cd2 H2 Cl2 F4'
_space_group_name_H-M_alt 'P 1'
_space_group_IT_number 1
_space_group_name_Hall 'P 1'
_cell_length_a 6.0701
_cell_length_b 3.8742
_cell_length_c 6.5361
_cell_angle_alpha 90.00
_cell_angle_beta 101.89
_cell_angle_gamma 90.00
loop_
_atom_site_label
_atom_site_type_symbol
_atom_site_fract_x
_atom_site_fract_y
_atom_site_fract_z
_atom_site_occupancy
Cd1 Cd 0.0564 0.2500 0.2532 1
Cd2 Cd 0.9436 0.7500 0.7468 1
H1 H 0.3912 0.2500 0.9029 1
H2 H 0.6088 0.7500 0.0971 1
Cl1 Cl 0.2448 0.7500 0.5006 1
Cl2 Cl 0.7552 0.2500 0.4994 1
F1 F 0.1300 0.2500 0.9238 1
F2 F 0.4621 0.7500 0.1339 1
F3 F 0.5379 0.2500 0.8661 1
F4 F 0.8700 0.7500 0.0762 1
```

# SrMg9Pt2
Computed powder X-ray diffraction pattern, CuKα. Input: a DFT-relaxed cell (GGA-PBE, Alexandria).

The 10 most intense peaks (10° ≤ 2θ ≤ 80°), by angle:
- 2θ = 13.73°, intensity 63
- 2θ = 20.46°, intensity 100
- 2θ = 21.42°, intensity 36
- 2θ = 27.67°, intensity 52
- 2θ = 29.79°, intensity 57
- 2θ = 30.47°, intensity 37
- 2θ = 33.52°, intensity 26
- 2θ = 35.73°, intensity 27
- 2θ = 40.16°, intensity 36
- 2θ = 41.62°, intensity 71

Atomic structure:
```
data_SrMg9Pt2
_chemical_formula_sum 'Sr2 Mg18 Pt4'
_space_group_name_H-M_alt 'P 1'
_space_group_IT_number 1
_space_group_name_Hall 'P 1'
_cell_length_a 9.1512
_cell_length_b 9.1512
_cell_length_c 9.1512
_cell_angle_alpha 100.25
_cell_angle_beta 100.25
_cell_angle_gamma 130.11
loop_
_atom_site_label
_atom_site_type_symbol
_atom_site_fract_x
_atom_site_fract_y
_atom_site_fract_z
_atom_site_occupancy
Sr1 Sr 0.3750 0.6250 0.7500 1
Sr2 Sr 0.6250 0.3750 0.2500 1
Mg1 Mg 0.1250 0.8750 0.2500 1
Mg2 Mg 0.1443 0.5728 0.3255 1
Mg3 Mg 0.1443 0.8188 0.5716 1
Mg4 Mg 0.1812 0.2527 0.3255 1
Mg5 Mg 0.1812 0.8557 0.9284 1
Mg6 Mg 0.2527 0.1812 0.8255 1
Mg7 Mg 0.2527 0.4272 0.0716 1
Mg8 Mg 0.4272 0.2527 0.5716 1
Mg9 Mg 0.4272 0.8557 0.1745 1
Mg10 Mg 0.5728 0.1443 0.8255 1
Mg11 Mg 0.5728 0.7473 0.4284 1
Mg12 Mg 0.7473 0.5728 0.9284 1
Mg13 Mg 0.7473 0.8188 0.1745 1
Mg14 Mg 0.8188 0.1443 0.0716 1
Mg15 Mg 0.8188 0.7473 0.6745 1
Mg16 Mg 0.8557 0.1812 0.4284 1
Mg17 Mg 0.8557 0.4272 0.6745 1
Mg18 Mg 0.8750 0.1250 0.7500 1
Pt1 Pt 0.0000 0.0000 0.0000 1
Pt2 Pt 0.0000 0.0000 0.5000 1
Pt3 Pt 0.0000 0.5000 0.0000 1
Pt4 Pt 0.5000 0.0000 0.5000 1
```